No. 1
The following is a simulated powder diffractogram of BaPr2PuN4. It was derived from a crystal structure in Alexandria, relaxed with PBE, using Cu Kα (λ = 1.5418 Å).
Intensities are scaled so that the largest is 100.

Main lines, sorted by position (10° ≤ 2θ ≤ 90°):
- d 3.458, 25.76 deg, rel. 30
- d 3.190, 27.97 deg, rel. 68
- d 3.130, 28.51 deg, rel. 81
- d 3.022, 29.56 deg, rel. 100
- d 2.816, 31.77 deg, rel. 73
- d 2.744, 32.63 deg, rel. 48
- d 2.391, 37.62 deg, rel. 24
- d 2.209, 40.84 deg, rel. 30
- d 1.912, 47.55 deg, rel. 41
- d 1.585, 58.22 deg, rel. 31

Structural model:
abc: 7.1114 7.1114 12.7599
angles: 90.00 90.00 149.66
Atoms (fractional coordinates):
Ba 0.0281 0.9719 0.7500
Ba 0.9719 0.0281 0.2500
Pr 0.3716 0.6284 0.5330
Pr 0.3716 0.6284 0.9670
Pr 0.6284 0.3716 0.0330
Pr 0.6284 0.3716 0.4670
Pu 0.2283 0.7717 0.2500
Pu 0.7717 0.2283 0.7500
N 0.0000 0.0000 0.0000
N 0.0000 0.0000 0.5000
N 0.2411 0.7589 0.0975
N 0.2411 0.7589 0.4025
N 0.3751 0.6249 0.7500
N 0.6249 0.3751 0.2500
N 0.7589 0.2411 0.5975
N 0.7589 0.2411 0.9025


No. 2
The following is a simulated powder diffractogram of Mg5Cd7. It was derived from a crystal structure in Alexandria, relaxed with PBE, using Cu Kα (λ = 1.5418 Å).
Intensities are scaled so that the largest is 100.

Main lines, sorted by position (10° ≤ 2θ ≤ 90°):
- d 3.962, 22.44 deg, rel. 36
- d 3.496, 25.48 deg, rel. 46
- d 3.386, 26.32 deg, rel. 57
- d 2.908, 30.75 deg, rel. 82
- d 2.577, 34.82 deg, rel. 92
- d 2.554, 35.14 deg, rel. 100
- d 2.490, 36.06 deg, rel. 82
- d 2.446, 36.74 deg, rel. 55
- d 2.249, 40.10 deg, rel. 69
- d 2.152, 41.99 deg, rel. 47

Structural model:
abc: 5.2211 5.2211 13.0203
angles: 94.26 94.26 51.02
Atoms (fractional coordinates):
Mg 0.0000 0.0000 0.0000
Mg 0.1775 0.1775 0.4365
Mg 0.4160 0.4160 0.1666
Mg 0.5840 0.5840 0.8334
Mg 0.8225 0.8225 0.5635
Cd 0.1207 0.1207 0.2214
Cd 0.1556 0.1556 0.6728
Cd 0.2947 0.2947 0.9246
Cd 0.5000 0.5000 0.5000
Cd 0.7053 0.7053 0.0754
Cd 0.8444 0.8444 0.3272
Cd 0.8793 0.8793 0.7786


No. 3
The following is a simulated powder diffractogram of Ti3IrRh2. It was derived from a crystal structure in Alexandria, relaxed with PBE, using Cu Kα (λ = 1.5418 Å).
Intensities are scaled so that the largest is 100.

Main lines, sorted by position (10° ≤ 2θ ≤ 90°):
- d 3.430, 25.98 deg, rel. 18
- d 2.958, 30.21 deg, rel. 24
- d 2.240, 40.26 deg, rel. 100
- d 2.092, 43.25 deg, rel. 41
- d 1.786, 51.15 deg, rel. 12
- d 1.715, 53.43 deg, rel. 11
- d 1.479, 62.82 deg, rel. 13
- d 1.326, 71.08 deg, rel. 18
- d 1.234, 77.30 deg, rel. 28
- d 1.120, 86.99 deg, rel. 10

Structural model:
abc: 2.9585 2.9585 10.2892
angles: 90.00 90.00 90.00
Atoms (fractional coordinates):
Ti 0.0000 0.0000 0.0000
Ti 0.0000 0.0000 0.3331
Ti 0.0000 0.0000 0.6669
Ir 0.5000 0.5000 0.5000
Rh 0.5000 0.5000 0.1684
Rh 0.5000 0.5000 0.8316


No. 4
The following is a simulated powder diffractogram of Pa4Co7Si6. It was derived from a crystal structure in Alexandria, relaxed with PBE, using Cu Kα (λ = 1.5418 Å).
Intensities are scaled so that the largest is 100.

Main lines, sorted by position (10° ≤ 2θ ≤ 90°):
- d 4.027, 22.08 deg, rel. 65
- d 2.847, 31.42 deg, rel. 100
- d 2.325, 38.73 deg, rel. 93
- d 2.013, 45.03 deg, rel. 54
- d 1.801, 50.70 deg, rel. 40
- d 1.644, 55.94 deg, rel. 34
- d 1.424, 65.58 deg, rel. 31
- d 1.342, 70.11 deg, rel. 22
- d 1.273, 74.52 deg, rel. 22
- d 1.214, 78.84 deg, rel. 31

Structural model:
abc: 6.9741 6.9741 6.9741
angles: 109.47 109.47 109.47
Atoms (fractional coordinates):
Pa 0.0000 0.0000 0.5000
Pa 0.0000 0.5000 0.0000
Pa 0.5000 0.0000 0.0000
Pa 0.5000 0.5000 0.5000
Co 0.0000 0.0000 0.0000
Co 0.2500 0.5000 0.7500
Co 0.2500 0.7500 0.5000
Co 0.5000 0.2500 0.7500
Co 0.5000 0.7500 0.2500
Co 0.7500 0.2500 0.5000
Co 0.7500 0.5000 0.2500
Si 0.0000 0.3315 0.3315
Si 0.0000 0.6685 0.6685
Si 0.3315 0.0000 0.3315
Si 0.3315 0.3315 0.0000
Si 0.6685 0.0000 0.6685
Si 0.6685 0.6685 0.0000


No. 5
The following is a simulated powder diffractogram of TmPu2Re. It was derived from a crystal structure in Alexandria, relaxed with PBE, using Cu Kα (λ = 1.5418 Å).
Intensities are scaled so that the largest is 100.

Main lines, sorted by position (10° ≤ 2θ ≤ 90°):
- d 3.419, 26.06 deg, rel. 8
- d 2.654, 33.78 deg, rel. 100
- d 2.565, 34.98 deg, rel. 23
- d 2.278, 39.56 deg, rel. 55
- d 1.988, 45.62 deg, rel. 10
- d 1.632, 56.37 deg, rel. 25
- d 1.590, 58.00 deg, rel. 8
- d 1.390, 67.35 deg, rel. 14
- d 1.377, 68.09 deg, rel. 17
- d 1.327, 71.05 deg, rel. 10

Structural model:
abc: 10.4286 10.4286 10.4286
angles: 18.01 18.01 18.01
Atoms (fractional coordinates):
Tm 0.0000 0.0000 0.0000
Pu 0.2374 0.2374 0.2374
Pu 0.7626 0.7626 0.7626
Re 0.5000 0.5000 0.5000


No. 6
The following is a simulated powder diffractogram of Na3TeH. It was derived from a crystal structure in Alexandria, relaxed with PBE, using Cu Kα (λ = 1.5418 Å).
Intensities are scaled so that the largest is 100.

Main lines, sorted by position (10° ≤ 2θ ≤ 90°):
- d 5.898, 15.02 deg, rel. 62
- d 4.318, 20.57 deg, rel. 100
- d 4.136, 21.48 deg, rel. 55
- d 4.050, 21.95 deg, rel. 51
- d 3.991, 22.27 deg, rel. 52
- d 3.897, 22.82 deg, rel. 77
- d 2.586, 34.70 deg, rel. 51
- d 2.557, 35.09 deg, rel. 63
- d 2.513, 35.73 deg, rel. 57
- d 2.480, 36.21 deg, rel. 50

Structural model:
abc: 5.1332 6.4025 8.5385
angles: 69.21 89.98 90.00
Atoms (fractional coordinates):
Na 0.0000 0.0000 0.0000
Na 0.0004 0.1225 0.4920
Na 0.0004 0.5679 0.7397
Na 0.4990 0.6741 0.2332
Na 0.4996 0.1962 0.1846
Na 0.5010 0.1668 0.7388
Te 0.9995 0.4695 0.1306
Te 0.5005 0.8159 0.5482
H 0.0002 0.2156 0.7274
H 0.4992 0.0107 0.0164


No. 7
The following is a simulated powder diffractogram of Rb3P11. It was derived from a crystal structure in Alexandria, relaxed with PBE, using Cu Kα (λ = 1.5418 Å).
Intensities are scaled so that the largest is 100.

Main lines, sorted by position (10° ≤ 2θ ≤ 90°):
- d 6.889, 12.85 deg, rel. 22
- d 4.391, 20.23 deg, rel. 100
- d 4.085, 21.75 deg, rel. 47
- d 3.445, 25.87 deg, rel. 32
- d 3.411, 26.12 deg, rel. 44
- d 3.013, 29.65 deg, rel. 27
- d 2.909, 30.74 deg, rel. 33
- d 2.830, 31.62 deg, rel. 45
- d 2.196, 41.11 deg, rel. 24
- d 2.154, 41.94 deg, rel. 24

Structural model:
abc: 11.0934 14.3522 11.1179
angles: 90.00 90.00 90.00
Atoms (fractional coordinates):
Rb 0.0000 0.2167 0.2500
Rb 0.0000 0.7833 0.7500
Rb 0.2332 0.4924 0.0674
Rb 0.2332 0.5076 0.5674
Rb 0.2668 0.0076 0.5674
Rb 0.2668 0.9924 0.0674
Rb 0.5000 0.2833 0.7500
Rb 0.5000 0.7167 0.2500
Rb 0.7332 0.0076 0.9326
Rb 0.7332 0.9924 0.4326
Rb 0.7668 0.4924 0.4326
Rb 0.7668 0.5076 0.9326
P 0.0000 0.0308 0.7500
P 0.0000 0.9692 0.2500
P 0.0062 0.3430 0.5187
P 0.0062 0.6570 0.0187
P 0.0797 0.1317 0.8728
P 0.0804 0.3722 0.8101
P 0.0804 0.6278 0.3101
P 0.0797 0.8683 0.3728
P 0.0839 0.2107 0.5723
P 0.0839 0.7893 0.0723
P 0.1716 0.2378 0.7532
P 0.1716 0.7622 0.2532
P 0.3284 0.2622 0.2532
P 0.3284 0.7378 0.7532
P 0.4161 0.2893 0.0723
P 0.4161 0.7107 0.5723
P 0.4196 0.1278 0.3101
P 0.4203 0.3683 0.3728
P 0.4203 0.6317 0.8728
P 0.4196 0.8722 0.8101
P 0.4938 0.1570 0.0187
P 0.4938 0.8430 0.5187
P 0.5000 0.4692 0.2500
P 0.5000 0.5308 0.7500
P 0.5062 0.1570 0.4813
P 0.5062 0.8430 0.9813
P 0.5804 0.1278 0.1899
P 0.5797 0.3683 0.1272
P 0.5797 0.6317 0.6272
P 0.5804 0.8722 0.6899
P 0.5839 0.2893 0.4277
P 0.5839 0.7107 0.9277
P 0.6716 0.2622 0.2468
P 0.6716 0.7378 0.7468
P 0.8284 0.2378 0.7468
P 0.8284 0.7622 0.2468
P 0.9161 0.2107 0.9277
P 0.9161 0.7893 0.4277
P 0.9203 0.1317 0.6272
P 0.9196 0.3722 0.6899
P 0.9196 0.6278 0.1899
P 0.9203 0.8683 0.1272
P 0.9938 0.3430 0.9813
P 0.9938 0.6570 0.4813


No. 8
The following is a simulated powder diffractogram of Ba2SbO6. It was derived from a crystal structure in Alexandria, relaxed with PBE, using Cu Kα (λ = 1.5418 Å).
Intensities are scaled so that the largest is 100.

Main lines, sorted by position (10° ≤ 2θ ≤ 90°):
- d 3.339, 26.70 deg, rel. 100
- d 3.308, 26.96 deg, rel. 95
- d 3.172, 28.14 deg, rel. 25
- d 3.023, 29.55 deg, rel. 22
- d 2.188, 41.25 deg, rel. 43
- d 1.989, 45.61 deg, rel. 29
- d 1.963, 46.24 deg, rel. 16
- d 1.862, 48.92 deg, rel. 17
- d 1.856, 49.08 deg, rel. 18
- d 1.805, 50.56 deg, rel. 16

Structural model:
abc: 6.6991 6.6991 3.9832
angles: 98.62 98.62 56.52
Atoms (fractional coordinates):
Ba 0.1645 0.1645 0.1764
Ba 0.8355 0.8355 0.8236
Sb 0.5000 0.5000 0.5000
O 0.1613 0.5875 0.3455
O 0.3022 0.6978 0.0000
O 0.4125 0.8387 0.6545
O 0.5875 0.1613 0.3455
O 0.6978 0.3022 0.0000
O 0.8387 0.4125 0.6545


No. 9
The following is a simulated powder diffractogram of Ce2HoCo9. It was derived from a crystal structure in Alexandria, relaxed with PBE, using Cu Kα (λ = 1.5418 Å).
Intensities are scaled so that the largest is 100.

Main lines, sorted by position (10° ≤ 2θ ≤ 90°):
- d 2.720, 32.93 deg, rel. 52
- d 2.504, 35.86 deg, rel. 43
- d 2.449, 36.70 deg, rel. 52
- d 2.113, 42.79 deg, rel. 39
- d 2.107, 42.92 deg, rel. 100
- d 1.461, 63.70 deg, rel. 15
- d 1.424, 65.54 deg, rel. 15
- d 1.360, 69.05 deg, rel. 15
- d 1.338, 70.37 deg, rel. 22
- d 1.225, 78.04 deg, rel. 21

Structural model:
abc: 8.7428 8.7428 8.7428
angles: 32.53 32.53 32.53
Atoms (fractional coordinates):
Ce 0.1397 0.1397 0.1397
Ce 0.8603 0.8603 0.8603
Ho 0.0000 0.0000 0.0000
Co 0.0819 0.5786 0.5786
Co 0.3326 0.3326 0.3326
Co 0.4214 0.4214 0.9181
Co 0.4214 0.9181 0.4214
Co 0.5000 0.5000 0.5000
Co 0.5786 0.0819 0.5786
Co 0.5786 0.5786 0.0819
Co 0.6674 0.6674 0.6674
Co 0.9181 0.4214 0.4214


No. 10
The following is a simulated powder diffractogram of HoCu4Rh2. It was derived from a crystal structure in Alexandria, relaxed with PBE, using Cu Kα (λ = 1.5418 Å).
Intensities are scaled so that the largest is 100.

Main lines, sorted by position (10° ≤ 2θ ≤ 90°):
- d 3.176, 28.09 deg, rel. 22
- d 2.490, 36.08 deg, rel. 67
- d 2.484, 36.16 deg, rel. 25
- d 2.246, 40.15 deg, rel. 85
- d 2.235, 40.35 deg, rel. 100
- d 2.003, 45.28 deg, rel. 20
- d 1.960, 46.32 deg, rel. 51
- d 1.586, 58.15 deg, rel. 25
- d 1.296, 72.99 deg, rel. 17
- d 1.123, 86.75 deg, rel. 26

Structural model:
abc: 5.1732 5.1732 5.1543
angles: 119.73 119.73 75.84
Atoms (fractional coordinates):
Ho 0.0000 0.0000 0.0000
Cu 0.0001 0.3853 0.6898
Cu 0.9999 0.6147 0.3102
Cu 0.3853 0.0001 0.6898
Cu 0.6147 0.9999 0.3102
Rh 0.4966 0.4966 0.2468
Rh 0.5034 0.5034 0.7532


No. 11
The following is a simulated powder diffractogram of PmPrZnBi. It was derived from a crystal structure in Alexandria, relaxed with PBE, using Cu Kα (λ = 1.5418 Å).
Intensities are scaled so that the largest is 100.

Main lines, sorted by position (10° ≤ 2θ ≤ 90°):
- d 4.442, 19.99 deg, rel. 12
- d 2.720, 32.93 deg, rel. 100
- d 2.320, 38.82 deg, rel. 7
- d 1.923, 47.26 deg, rel. 18
- d 1.765, 51.80 deg, rel. 3
- d 1.570, 58.80 deg, rel. 38
- d 1.360, 69.06 deg, rel. 12
- d 1.300, 72.72 deg, rel. 3
- d 1.216, 78.66 deg, rel. 17
- d 1.110, 87.94 deg, rel. 4

Structural model:
abc: 5.4400 5.4400 5.4400
angles: 60.00 60.00 60.00
Atoms (fractional coordinates):
Pm 0.0000 0.0000 0.0000
Pr 0.5000 0.5000 0.5000
Zn 0.2500 0.2500 0.2500
Bi 0.7500 0.7500 0.7500